LiFeSi4O10: simulated X-ray diffraction stick pattern (CuKα), based on a DFT-relaxed cell (PBE+U, Alexandria).
Lines closer than 0.1° are merged.

Crystal structure
```
LiFeSi4O10
1.0
7.8548 0.0000 0.0000
0.0000 5.2847 0.0000
-4.6877 0.0000 11.1693
Li Fe Si O
2 2 8 20
direct
0.0000 0.2482 0.2500
0.0000 0.7518 0.7500
0.0000 0.2519 0.7500
0.0000 0.7481 0.2500
0.2937 0.0159 0.4997
0.2937 0.4850 0.1475
0.2937 0.5150 0.6475
0.2937 0.9841 0.9997
0.7063 0.0159 0.0003
0.7063 0.4850 0.3525
0.7063 0.5150 0.8525
0.7063 0.9841 0.5003
0.1395 0.0134 0.8642
0.1399 0.4905 0.7062
0.1399 0.5095 0.2062
0.1395 0.9866 0.3642
0.2634 0.2940 0.5477
0.2634 0.7060 0.0477
0.2688 0.2060 0.0858
0.2688 0.7940 0.5858
0.5000 0.0000 0.0000
0.5000 0.0000 0.5000
0.5000 0.4869 0.7500
0.5000 0.5131 0.2500
0.7312 0.2060 0.4142
0.7312 0.7940 0.9142
0.7366 0.2940 0.9523
0.7366 0.7060 0.4523
0.8605 0.0134 0.6358
0.8601 0.4905 0.7938
0.8601 0.5095 0.2938
0.8605 0.9866 0.1358
```

Top 10 peaks for 2θ from 5° to 70°, by angle:
(0 1 1), 18.57°, intensity 10
(1 1 -1), 20.51°, intensity 10
(0 1 2), 23.17°, intensity 96
(2 0 -2), 23.56°, intensity 100
(1 1 1), 23.95°, intensity 10
(1 1 -3), 27.98°, intensity 12
(1 1 2), 29.07°, intensity 8
(1 1 4), 42.51°, intensity 13
(1 2 -4), 45.56°, intensity 16
(3 2 -6), 60.85°, intensity 14